For GdInBr6, a DFT-relaxed cell (GGA-PBE, OQMD) gives the theoretical powder X-ray diffraction pattern in this record (Cu Kα, 1.54184 Å).

Largest 10 diffraction maxima, in order of falling intensity, 10 to 90 degrees two-theta:
h k l	2θ/deg	d (Å)	I/Imax
1 3 1	31.1	2.880	100.0
1 3 -3	44.3	2.044	70.6
0 0 1	13.3	6.645	61.1
2 0 -2	30.8	2.901	50.7
1 3 0	25.5	3.487	29.8
1 1 0	15.2	5.836	28.7
1 1 -1	16.9	5.247	20.2
2 0 2	44.8	2.023	17.8
2 6 -2	54.8	1.674	17.4
0 6 0	44.2	2.050	17.4

Crystal structure
```
data_GdInBr6
_chemical_formula_sum 'Gd2 In2 Br12'
_cell_length_a 7.065
_cell_length_b 12.300
_cell_length_c 7.082
_cell_angle_alpha 90.00
_cell_angle_beta 110.22
_cell_angle_gamma 90.00
_symmetry_space_group_name_H-M 'C 1 2 1'
_symmetry_Int_Tables_number 5
_symmetry_space_group_name_Hall 'C 2y'
loop_
_atom_site_label
_atom_site_type_symbol
_atom_site_fract_x
_atom_site_fract_y
_atom_site_fract_z
Gd1 Gd 0.000 0.000 0.000
In1 In 0.000 0.331 0.000
Br1 Br 0.228 0.172 0.241
Br2 Br 0.232 0.340 0.762
Br3 Br 0.249 0.983 0.760
```


For Zr2AsAu, a DFT-relaxed cell (GGA-PBE, OQMD) gives the theoretical powder X-ray diffraction pattern in this record (Cu Kα, 1.54184 Å).

Largest 10 diffraction maxima, in order of falling intensity, 10 to 90 degrees two-theta:
h k l	2θ/deg	d (Å)	I/Imax
0 6 1	34.1	2.626	100.0
1 5 1	39.6	2.278	94.5
0 0 2	34.9	2.569	74.4
1 5 0	35.3	2.542	43.1
1 1 0	25.7	3.463	39.9
1 5 2	50.5	1.807	30.5
2 0 2	64.1	1.454	29.1
0 8 0	39.3	2.292	28.9
2 0 0	51.9	1.763	27.6
1 1 1	31.1	2.871	27.1

Crystal structure
```
data_Zr2AsAu
_chemical_formula_sum 'Zr8 As4 Au4'
_cell_length_a 3.526
_cell_length_b 18.336
_cell_length_c 5.137
_cell_angle_alpha 90.00
_cell_angle_beta 90.00
_cell_angle_gamma 90.00
_symmetry_space_group_name_H-M 'C m c m'
_symmetry_Int_Tables_number 63
_symmetry_space_group_name_Hall '-C 2c 2'
loop_
_atom_site_label
_atom_site_type_symbol
_atom_site_fract_x
_atom_site_fract_y
_atom_site_fract_z
Zr1 Zr 0.000 0.078 0.250
Zr2 Zr 0.000 0.294 0.250
As1 As 0.000 0.314 0.750
Au1 Au 0.000 0.453 0.250
```


For Na2In4PdPt, a DFT-relaxed cell (GGA-PBE, OQMD) gives the theoretical powder X-ray diffraction pattern in this record (Cu Kα, 1.54184 Å).

Largest 10 diffraction maxima, in order of falling intensity, 10 to 90 degrees two-theta:
h k l	2θ/deg	d (Å)	I/Imax
3 1 1	40.6	2.221	100.0
2 1 3	40.1	2.247	83.3
0 0 2	17.0	5.219	83.3
2 1 1	31.6	2.834	77.0
1 1 3	34.9	2.573	58.8
1 0 2	20.3	4.370	52.8
0 2 0	41.5	2.177	48.3
2 0 4	41.3	2.185	41.9
0 1 1	22.1	4.018	29.8
1 1 1	24.8	3.590	28.9

Crystal structure
```
data_Na2In4PdPt
_chemical_formula_sum 'Na4 In8 Pd2 Pt2'
_cell_length_a 7.993
_cell_length_b 4.354
_cell_length_c 10.438
_cell_angle_alpha 90.00
_cell_angle_beta 90.00
_cell_angle_gamma 90.00
_symmetry_space_group_name_H-M 'A m m 2'
_symmetry_Int_Tables_number 38
_symmetry_space_group_name_Hall 'A 2 -2'
loop_
_atom_site_label
_atom_site_type_symbol
_atom_site_fract_x
_atom_site_fract_y
_atom_site_fract_z
Na1 Na 0.000 0.000 0.000
Na2 Na 0.500 0.000 0.135
In1 In 0.200 0.000 0.710
In2 In 0.300 0.000 0.424
Pd1 Pd 0.000 0.000 0.283
Pt1 Pt 0.500 0.000 0.851
```


For Cs3RbAg2Sb2, a DFT-relaxed cell (GGA-PBE, OQMD) gives the theoretical powder X-ray diffraction pattern in this record (Cu Kα, 1.54184 Å).

Largest 10 diffraction maxima, in order of falling intensity, 10 to 90 degrees two-theta:
h k l	2θ/deg	d (Å)	I/Imax
1 1 -2	28.5	3.130	100.0
2 1 -1	28.7	3.114	97.5
1 2 0	29.1	3.066	73.7
1 1 1	24.6	3.612	71.5
1 2 1	33.6	2.668	66.3
2 0 -1	25.5	3.496	42.8
1 0 -2	25.3	3.518	38.9
0 2 0	26.0	3.428	38.1
0 2 3	47.8	1.905	30.7
3 2 0	48.0	1.894	28.5

Crystal structure
```
data_Cs3RbAg2Sb2
_chemical_formula_sum 'Cs3 Rb1 Ag2 Sb2'
_cell_length_a 7.141
_cell_length_b 6.857
_cell_length_c 7.199
_cell_angle_alpha 90.00
_cell_angle_beta 107.30
_cell_angle_gamma 90.00
_symmetry_space_group_name_H-M 'P 1 m 1'
_symmetry_Int_Tables_number 6
_symmetry_space_group_name_Hall 'P -2y'
loop_
_atom_site_label
_atom_site_type_symbol
_atom_site_fract_x
_atom_site_fract_y
_atom_site_fract_z
Cs1 Cs 0.000 0.000 0.000
Cs2 Cs 0.029 0.500 0.353
Cs3 Cs 0.690 0.500 0.691
Rb1 Rb 0.339 0.000 0.665
Ag1 Ag 0.514 0.250 0.175
Sb1 Sb 0.266 0.500 0.926
Sb2 Sb 0.758 0.000 0.428
```


For Y2Re17, a DFT-relaxed cell (GGA-PBE, OQMD) gives the theoretical powder X-ray diffraction pattern in this record (Cu Kα, 1.54184 Å).

Largest 10 diffraction maxima, in order of falling intensity, 10 to 90 degrees two-theta:
h k l	2θ/deg	d (Å)	I/Imax
0 4 0	40.0	2.254	100.0
4 2 1	45.0	2.015	92.6
4 2 -2	44.8	2.025	36.0
4 0 -2	39.8	2.267	33.9
2 2 2	40.1	2.249	31.6
0 2 0	19.7	4.500	26.0
1 1 0	13.1	6.763	25.7
2 0 2	34.5	2.598	21.5
4 0 4	72.8	1.299	21.3
4 2 -1	40.5	2.230	20.1

Crystal structure
```
data_Y2Re17
_chemical_formula_sum 'Y4 Re34'
_cell_length_a 10.452
_cell_length_b 9.004
_cell_length_c 6.894
_cell_angle_alpha 90.00
_cell_angle_beta 101.33
_cell_angle_gamma 90.00
_symmetry_space_group_name_H-M 'C 1 2/m 1'
_symmetry_Int_Tables_number 12
_symmetry_space_group_name_Hall '-C 2y'
loop_
_atom_site_label
_atom_site_type_symbol
_atom_site_fract_x
_atom_site_fract_y
_atom_site_fract_z
Y1 Y 0.154 0.000 0.345
Re1 Re 0.000 0.204 0.000
Re2 Re 0.000 0.500 0.500
Re3 Re 0.092 0.500 0.908
Re4 Re 0.093 0.249 0.656
Re5 Re 0.150 0.351 0.300
Re6 Re 0.155 0.000 0.843
Re7 Re 0.250 0.250 0.000
```


For Cu10Te3, a DFT-relaxed cell (GGA-PBE, OQMD) gives the theoretical powder X-ray diffraction pattern in this record (Cu Kα, 1.54184 Å).

Largest 10 diffraction maxima, in order of falling intensity, 10 to 90 degrees two-theta:
h k l	2θ/deg	d (Å)	I/Imax
1 1 8	42.0	2.154	100.0
2 1 -7	47.3	1.920	89.4
1 0 -15	44.9	2.021	40.5
3 0 1	43.9	2.062	35.3
1 1 7	40.4	2.235	35.0
1 1 3	35.8	2.507	32.0
1 1 9	43.7	2.073	29.7
1 0 -10	31.3	2.862	28.8
1 1 1	34.8	2.577	25.9
1 0 9	29.5	3.027	24.8

Crystal structure
```
data_Cu10Te3
_chemical_formula_sum 'Cu20 Te6'
_cell_length_a 6.216
_cell_length_b 2.848
_cell_length_c 31.729
_cell_angle_alpha 90.00
_cell_angle_beta 91.81
_cell_angle_gamma 90.00
_symmetry_space_group_name_H-M 'P 1 21/m 1'
_symmetry_Int_Tables_number 11
_symmetry_space_group_name_Hall '-P 2yb'
loop_
_atom_site_label
_atom_site_type_symbol
_atom_site_fract_x
_atom_site_fract_y
_atom_site_fract_z
Cu1 Cu 0.013 0.250 0.468
Cu2 Cu 0.040 0.750 0.403
Cu3 Cu 0.067 0.250 0.339
Cu4 Cu 0.261 0.250 0.686
Cu5 Cu 0.284 0.750 0.620
Cu6 Cu 0.312 0.250 0.555
Cu7 Cu 0.338 0.750 0.489
Cu8 Cu 0.364 0.250 0.425
Cu9 Cu 0.395 0.750 0.360
Cu10 Cu 0.418 0.250 0.295
Te1 Te 0.072 0.750 0.263
Te2 Te 0.143 0.750 0.156
Te3 Te 0.399 0.750 0.777
```